Structure and computed powder diffractogram of RbV2SbO8 (a DFT-relaxed cell (PBE+U, Alexandria); λ = 1.5418 Å (Cu Kα)).
Peak positions follow from Bragg's law for the DFT cell and can differ from measured ones.

Atomic structure:
```
data_RbV2SbO8
_space_group_name_H-M_alt 'P n m a'
_space_group_IT_number 62
_cell_length_a 15.463
_cell_length_b 5.642
_cell_length_c 8.938
_cell_angle_alpha 90.00
_cell_angle_beta 90.00
_cell_angle_gamma 90.00
loop_
_space_group_symop_operation_xyz
'x,y,z'
'-x,-y,-z'
'-x+1/2,-y,z+1/2'
'x+1/2,y,-z+1/2'
'x+1/2,-y+1/2,-z+1/2'
'-x+1/2,y+1/2,z+1/2'
'-x,y+1/2,-z'
'x,-y+1/2,z'
loop_
_atom_site_label
_atom_site_type_symbol
_atom_site_fract_x
_atom_site_fract_y
_atom_site_fract_z
Rb1 Rb 0.113 0.250 0.048
V1 V 0.016 0.750 0.295
V2 V 0.215 0.250 0.471
Sb1 Sb 0.128 0.750 0.663
O1 O 0.051 0.503 0.749
O2 O 0.057 0.750 0.477
O3 O 0.092 0.750 0.167
O4 O 0.130 0.250 0.363
O5 O 0.188 0.750 0.862
O6 O 0.212 0.509 0.586
```

Peak list (10 most intense, 5 to 70 degrees two-theta, in order of falling intensity)
(hkl)	two_theta	I (rel.)
3 1 1	25.44	100
4 1 1	29.75	75
2 1 2	27.96	73
0 2 0	31.72	53
4 0 0	22.99	46
0 1 1	18.60	41
2 0 1	15.15	37
1 0 3	30.57	35
2 1 1	21.89	34
1 0 2	20.69	30